Mo4O9: computed X-ray diffraction stick pattern (Cu Kα X-rays), based on a GGA+U-relaxed structure.

The 12 most intense peaks (2θ = 10–90°), low angle first:
d (Å), intensity
6.802, 38
4.810, 27
3.846, 94
3.401, 26
3.042, 100
2.386, 44
2.151, 54
1.923, 22
1.877, 41
1.625, 30
1.521, 14
1.434, 26

Structural model:
```
data_Mo4O9
_chemical_formula_sum 'Mo4 O9'
_symmetry_space_group_name_H-M 'P 4/m'
_symmetry_Int_Tables_number 83
_symmetry_space_group_name_Hall '-P 4'
_cell_length_a 6.8023
_cell_length_b 6.8023
_cell_length_c 3.8460
_cell_angle_alpha 90.00
_cell_angle_beta 90.00
_cell_angle_gamma 90.00
loop_
_atom_site_label
_atom_site_fract_x
_atom_site_fract_y
_atom_site_fract_z
_atom_site_occupancy
Mo1 0.1269 0.6963 0.0000 1
O1 0.0000 0.0000 0.0000 1
O2 0.1313 0.6982 0.5000 1
O3 0.1622 0.3939 0.0000 1
```